The following is a computed powder XRD pattern of CdAg2Cl4. It was derived from the PBE geometry in Alexandria, using Cu Kα X-rays.
No peak broadening, texture or thermal motion is included.

Crystal structure
Cell: 7.9773 7.9773 11.3314 Å, 90.00 90.00 90.00°
Space group P4_122 (No. 91)
Inequivalent atoms, fractional coordinates:
Cd1 0.0000 0.2566 0.0000
Ag1 0.2471 0.2471 0.3750
Ag2 0.2622 0.5000 0.7500
Cl1 0.0190 0.2406 0.7620
Cl2 0.2395 0.4822 0.9979

Main lines, by angle (15° ≤ 2θ ≤ 90°):
- 3.995 Å, 2θ 22.3, I 27.0
- 3.407 Å, 2θ 26.2, I 100.0
- 2.820 Å, 2θ 31.7, I 18.1
- 2.180 Å, 2θ 41.4, I 12.4
- 2.172 Å, 2θ 41.6, I 31.7
- 1.999 Å, 2θ 45.4, I 44.2
- 1.994 Å, 2θ 45.5, I 21.6
- 1.723 Å, 2θ 53.2, I 13.4
- 1.471 Å, 2θ 63.2, I 13.6
- 1.152 Å, 2θ 84.0, I 12.4

=====

The following is a computed powder XRD pattern of BaNa2Cl. It was derived from the PBE geometry in Alexandria, using Cu Kα X-rays.
No peak broadening, texture or thermal motion is included.

Crystal structure
Cell: 10.3984 10.3984 6.1888 Å, 90.00 90.00 90.00°
Space group I-42d (No. 122)
Inequivalent atoms, fractional coordinates:
Ba1 0.0000 0.0000 0.0000
Na1 0.1742 0.2500 0.6250
Cl1 0.0000 0.0000 0.5000

Main lines, by angle (15° ≤ 2θ ≤ 90°):
- 5.318 Å, 2θ 16.7, I 35.3
- 5.199 Å, 2θ 17.1, I 100.0
- 3.718 Å, 2θ 23.9, I 67.2
- 3.676 Å, 2θ 24.2, I 99.9
- 3.024 Å, 2θ 29.5, I 25.8
- 2.852 Å, 2θ 31.4, I 79.1
- 2.600 Å, 2θ 34.5, I 34.3
- 2.325 Å, 2θ 38.7, I 37.8
- 2.254 Å, 2θ 40.0, I 75.8
- 1.703 Å, 2θ 53.8, I 30.2

=====

The following is a computed powder XRD pattern of TiGa3Ni4. It was derived from the PBE geometry in Alexandria, using Cu Kα X-rays.
No peak broadening, texture or thermal motion is included.

Crystal structure
Cell: 4.1217 4.1217 5.9546 Å, 90.00 90.00 90.00°
Space group P4/mmm (No. 123)
Inequivalent atoms, fractional coordinates:
Ti1 0.0000 0.0000 0.0000
Ga1 0.0000 0.0000 0.5000
Ga2 0.5000 0.5000 0.0000
Ga3 0.5000 0.5000 0.5000
Ni1 0.0000 0.5000 0.2528

Main lines, by angle (15° ≤ 2θ ≤ 90°):
- 4.122 Å, 2θ 21.6, I 0.7
- 3.389 Å, 2θ 26.3, I 0.9
- 2.083 Å, 2θ 43.5, I 100.0
- 2.061 Å, 2θ 43.9, I 48.4
- 1.489 Å, 2θ 62.4, I 8.0
- 1.457 Å, 2θ 63.9, I 14.8
- 1.207 Å, 2θ 79.4, I 15.2
- 1.194 Å, 2θ 80.4, I 29.4

=====

The following is a computed powder XRD pattern of BaGa7Ag5. It was derived from the PBE geometry in Alexandria, using Cu Kα X-rays.
No peak broadening, texture or thermal motion is included.

Crystal structure
Cell: 5.5914 9.6936 9.5290 Å, 90.00 90.00 90.00°
Space group Imm2 (No. 44)
Inequivalent atoms, fractional coordinates:
Ba1 0.0000 0.0000 0.0000
Ga1 0.0000 0.0000 0.3567
Ga2 0.0000 0.0000 0.6376
Ga3 0.0000 0.2762 0.5096
Ga4 0.0000 0.3589 0.9932
Ga5 0.0000 0.5000 0.2587
Ag1 0.0000 0.5000 0.7146
Ag2 0.2486 0.2549 0.2568

Main lines, by angle (15° ≤ 2θ ≤ 90°):
- 3.397 Å, 2θ 26.2, I 27.1
- 2.422 Å, 2θ 37.1, I 100.0
- 2.412 Å, 2θ 37.3, I 94.6
- 2.400 Å, 2θ 37.5, I 41.6
- 2.382 Å, 2θ 37.8, I 37.8
- 2.159 Å, 2θ 41.8, I 91.4
- 2.138 Å, 2θ 42.3, I 29.0
- 1.699 Å, 2θ 54.0, I 22.4
- 1.398 Å, 2θ 66.9, I 27.2
- 1.381 Å, 2θ 67.9, I 21.1